(1)
Structure and computed XRD peak list of Co6Ni2Pt (DFT lattice parameters and positions (GGA-PBE); Cu Kα (λ = 1.5418 Å)).

Principal peaks in the range 2θ = 10–90°, sorted by position:
2θ = 18.86°, intensity 24.1; 2θ = 25.51°, intensity 15.6; 2θ = 28.02°, intensity 13.0; 2θ = 44.61°, intensity 100.0; 2θ = 44.97°, intensity 91.0; 2θ = 65.20°, intensity 30.6; 2θ = 82.71°, intensity 30.7; 2θ = 82.97°, intensity 13.9

Structural model:
a = 4.7424 Å, b = 4.7424 Å, c = 4.7424 Å
α = 94.82°, β = 94.82°, γ = 94.82°
Atoms (fractional coordinates):
Co 0.0000 0.3305 0.6695
Co 0.0000 0.6695 0.3305
Co 0.3305 0.0000 0.6695
Co 0.3305 0.6695 0.0000
Co 0.6695 0.0000 0.3305
Co 0.6695 0.3305 0.0000
Ni 0.1611 0.1611 0.1611
Ni 0.8389 0.8389 0.8389
Pt 0.5000 0.5000 0.5000

(2)
Structure and computed XRD peak list of Co3NiPt3 (DFT lattice parameters and positions (GGA-PBE); Cu Kα (λ = 1.5418 Å)).

Principal peaks in the range 2θ = 10–90°, sorted by position:
2θ = 21.07°, intensity 38.0; 2θ = 29.97°, intensity 96.0; 2θ = 39.00°, intensity 87.8; 2θ = 40.99°, intensity 77.9; 2θ = 44.74°, intensity 100.0; 2θ = 46.53°, intensity 76.2; 2θ = 51.60°, intensity 44.7; 2θ = 81.19°, intensity 45.2

Structural model:
a = 7.3031 Å, b = 7.3031 Å, c = 7.3031 Å
α = 90.00°, β = 90.00°, γ = 90.00°
Atoms (fractional coordinates):
Co 0.1491 0.3509 0.6491
Co 0.1504 0.1504 0.1504
Co 0.1652 0.8348 0.3348
Co 0.3348 0.1652 0.8348
Co 0.3496 0.8496 0.6504
Co 0.3509 0.6491 0.1491
Co 0.6491 0.1491 0.3509
Co 0.6504 0.3496 0.8496
Co 0.6652 0.6652 0.6652
Co 0.8348 0.3348 0.1652
Co 0.8496 0.6504 0.3496
Co 0.8509 0.8509 0.8509
Ni 0.0328 0.5328 0.9672
Ni 0.4672 0.4672 0.4672
Ni 0.5328 0.9672 0.0328
Ni 0.9672 0.0328 0.5328
Pt 0.0446 0.6818 0.6332
Pt 0.1332 0.4554 0.3182
Pt 0.1818 0.8668 0.9554
Pt 0.3182 0.1332 0.4554
Pt 0.3668 0.5446 0.8182
Pt 0.4554 0.3182 0.1332
Pt 0.5446 0.8182 0.3668
Pt 0.6332 0.0446 0.6818
Pt 0.6818 0.6332 0.0446
Pt 0.8182 0.3668 0.5446
Pt 0.8668 0.9554 0.1818
Pt 0.9554 0.1818 0.8668

(3)
Structure and computed XRD peak list of CoNi23Pt6 (DFT lattice parameters and positions (GGA-PBE); Cu Kα (λ = 1.5418 Å)).

Principal peaks in the range 2θ = 10–90°, sorted by position:
2θ = 27.25°, intensity 21.4; 2θ = 31.57°, intensity 17.8; 2θ = 35.41°, intensity 16.2; 2θ = 38.92°, intensity 15.4; 2θ = 41.39°, intensity 38.2; 2θ = 45.25°, intensity 100.0; 2θ = 83.57°, intensity 19.2; 2θ = 89.41°, intensity 13.9

Structural model:
a = 8.0159 Å, b = 8.0159 Å, c = 8.0159 Å
α = 60.00°, β = 60.00°, γ = 60.00°
Atoms (fractional coordinates):
Co 0.0000 0.0000 0.0000
Ni 0.0000 0.0000 0.5000
Ni 0.0000 0.5000 0.0000
Ni 0.0000 0.5000 0.5000
Ni 0.1345 0.6218 0.6218
Ni 0.1651 0.1651 0.1651
Ni 0.1651 0.1651 0.5048
Ni 0.1651 0.5048 0.1651
Ni 0.3782 0.3782 0.3782
Ni 0.3782 0.3782 0.8655
Ni 0.3782 0.8655 0.3782
Ni 0.4952 0.8349 0.8349
Ni 0.5000 0.0000 0.0000
Ni 0.5000 0.0000 0.5000
Ni 0.5000 0.5000 0.0000
Ni 0.5000 0.5000 0.5000
Ni 0.5048 0.1651 0.1651
Ni 0.6218 0.1345 0.6218
Ni 0.6218 0.6218 0.1345
Ni 0.6218 0.6218 0.6218
Ni 0.8349 0.4952 0.8349
Ni 0.8349 0.8349 0.4952
Ni 0.8349 0.8349 0.8349
Ni 0.8655 0.3782 0.3782
Pt 0.2249 0.2249 0.7751
Pt 0.2249 0.7751 0.2249
Pt 0.2249 0.7751 0.7751
Pt 0.7751 0.2249 0.2249
Pt 0.7751 0.2249 0.7751
Pt 0.7751 0.7751 0.2249

(4)
Structure and computed XRD peak list of V2CoNiPt2 (DFT lattice parameters and positions (GGA-PBE); Cu Kα (λ = 1.5418 Å)).

Principal peaks in the range 2θ = 10–90°, sorted by position:
2θ = 13.17°, intensity 35.7; 2θ = 28.78°, intensity 42.8; 2θ = 37.10°, intensity 100.0; 2θ = 38.45°, intensity 35.7; 2θ = 39.18°, intensity 49.9; 2θ = 41.13°, intensity 45.0; 2θ = 48.23°, intensity 34.5; 2θ = 52.35°, intensity 34.9

Structural model:
a = 7.5796 Å, b = 7.5796 Å, c = 7.5796 Å
α = 141.53°, β = 54.94°, γ = 142.33°
Atoms (fractional coordinates):
V 0.1247 0.2032 0.3280
V 0.3753 0.7032 0.0785
V 0.6247 0.2968 0.9215
V 0.8753 0.7968 0.6720
Co 0.2500 0.2500 0.0000
Co 0.7500 0.7500 0.0000
Ni 0.2500 0.7500 0.5000
Ni 0.7500 0.2500 0.5000
Pt 0.1833 0.6910 0.8743
Pt 0.3167 0.1910 0.5077
Pt 0.6833 0.8090 0.4923
Pt 0.8167 0.3090 0.1257

(5)
Structure and computed XRD peak list of Pu3Co8Ni (DFT lattice parameters and positions (GGA-PBE); Cu Kα (λ = 1.5418 Å)).

Principal peaks in the range 2θ = 10–90°, sorted by position:
2θ = 22.14°, intensity 28.2; 2θ = 36.42°, intensity 47.4; 2θ = 36.57°, intensity 50.1; 2θ = 42.97°, intensity 33.2; 2θ = 43.12°, intensity 100.0; 2θ = 65.74°, intensity 17.6; 2θ = 70.30°, intensity 30.2; 2θ = 77.74°, intensity 14.6

Structural model:
a = 8.5576 Å, b = 8.5576 Å, c = 8.5576 Å
α = 33.37°, β = 33.37°, γ = 33.37°
Atoms (fractional coordinates):
Pu 0.0000 0.0000 0.0000
Pu 0.1287 0.1287 0.1287
Pu 0.6171 0.6171 0.6171
Co 0.0600 0.0600 0.5569
Co 0.0600 0.5569 0.0600
Co 0.0696 0.5625 0.5625
Co 0.3120 0.3120 0.3120
Co 0.5569 0.0600 0.0600
Co 0.5625 0.0696 0.5625
Co 0.5625 0.5625 0.0696
Co 0.8122 0.8122 0.8122
Ni 0.4929 0.4929 0.4929

(6)
Structure and computed XRD peak list of Pu2Co2Ni15 (DFT lattice parameters and positions (GGA-PBE); Cu Kα (λ = 1.5418 Å)).

Principal peaks in the range 2θ = 10–90°, sorted by position:
2θ = 30.93°, intensity 55.5; 2θ = 37.68°, intensity 44.7; 2θ = 38.91°, intensity 25.4; 2θ = 43.78°, intensity 55.2; 2θ = 44.05°, intensity 100.0; 2θ = 44.85°, intensity 44.4; 2θ = 63.82°, intensity 29.4; 2θ = 64.47°, intensity 26.1

Structural model:
a = 6.2572 Å, b = 6.2572 Å, c = 6.2572 Å
α = 82.74°, β = 82.74°, γ = 82.74°
Atoms (fractional coordinates):
Pu 0.1572 0.1572 0.1572
Pu 0.8428 0.8428 0.8428
Co 0.4077 0.4077 0.4077
Co 0.5923 0.5923 0.5923
Ni 0.0000 0.5000 0.5000
Ni 0.1563 0.1563 0.6532
Ni 0.1563 0.6532 0.1563
Ni 0.2015 0.5000 0.7985
Ni 0.2015 0.7985 0.5000
Ni 0.3468 0.8437 0.8437
Ni 0.5000 0.0000 0.5000
Ni 0.5000 0.2015 0.7985
Ni 0.5000 0.5000 0.0000
Ni 0.5000 0.7985 0.2015
Ni 0.6532 0.1563 0.1563
Ni 0.7985 0.2015 0.5000
Ni 0.7985 0.5000 0.2015
Ni 0.8437 0.3468 0.8437
Ni 0.8437 0.8437 0.3468